For Mg2Cr9O13, a crystal structure in Alexandria, relaxed with PBE+U gives the theoretical powder diffractogram in this record (λ = 1.5418 Å (Cu Kα)).

Main lines, by intensity (2θ = 5–70°):
2theta  d (Å)  Rel. int.
10.52  8.407  100
34.03  2.635  94
34.40  2.607  93
42.13  2.145  89
42.81  2.112  59
40.82  2.211  57
62.04  1.496  54
41.24  2.189  49

Structure:
```
Mg2Cr9O13
1.0
5.0906 -1.4959 0.0000
5.0906 1.4959 0.0000
-2.3440 0.0000 16.8136
Mg Cr O
2 9 13
Direct
0.2226 0.2226 0.2324 Mg
0.7774 0.7774 0.7676 Mg
0.0013 0.0013 0.3277 Cr
0.0671 0.0671 0.8774 Cr
0.2447 0.2447 0.5850 Cr
0.3542 0.3542 0.9571 Cr
0.5000 0.5000 0.5000 Cr
0.6458 0.6458 0.0429 Cr
0.7553 0.7553 0.4150 Cr
0.9329 0.9329 0.1226 Cr
0.9987 0.9987 0.6723 Cr
0.0000 0.0000 0.0000 O
0.1241 0.1241 0.4752 O
0.1466 0.1466 0.7807 O
0.3020 0.3020 0.0715 O
0.3620 0.3620 0.6922 O
0.4026 0.4026 0.3847 O
0.4317 0.4317 0.8545 O
0.5683 0.5683 0.1455 O
0.5974 0.5974 0.6153 O
0.6380 0.6380 0.3078 O
0.6980 0.6980 0.9285 O
0.8534 0.8534 0.2193 O
0.8759 0.8759 0.5248 O
```